No. 1
Theoretical PXRD pattern
Compound: LuCdHgRh
Radiation: Cu Kα
Structure: a structure optimized by DFT (PBE)
Intensities are scaled so that the largest is 100.

Structural model:
```
4
Lattice="0.0000 3.4234 3.4234 3.4234 0.0000 3.4234 3.4234 3.4234 0.0000" Properties=species:S:1:pos:R:3 pbc="T T T"
Lu 0.0000 0.0000 0.0000
Cd 3.4234 3.4234 3.4234
Hg 5.1352 5.1352 5.1352
Rh 1.7117 1.7117 1.7117
```

Most intense lines, 2θ = 5–70°, sorted by position:
2θ/deg  I (rel.)
22.5  7.8
37.1  100.0
43.9  4.6
53.5  17.4
58.8  2.0
67.0  35.4

---

No. 2
Theoretical PXRD pattern
Compound: La2Si4CN6
Radiation: Cu Kα
Structure: a structure optimized by DFT (PBE)
Intensities are scaled so that the largest is 100.

Structural model:
```
52
Lattice="10.2390 0.0000 0.0000 0.0000 6.0440 0.0000 0.0000 0.0000 10.5866" Properties=species:S:1:pos:R:3 pbc="T T T"
La 0.5259 1.5110 1.1010
La 0.9362 4.5330 5.9456
La 4.1833 1.5110 0.6523
La 4.5936 4.5330 6.3944
La 5.6455 1.5110 4.1923
La 6.0557 4.5330 9.9343
La 9.3028 1.5110 4.6410
La 9.7131 4.5330 9.4856
Si 0.1815 1.5110 7.8309
Si 2.0751 4.5330 0.8050
Si 2.3240 0.0207 3.5002
Si 2.3240 3.0013 3.5002
Si 2.7955 3.0427 8.7935
Si 2.7955 6.0233 8.7935
Si 3.0444 1.5110 6.0983
Si 4.9380 4.5330 2.5376
Si 5.3010 1.5110 8.0490
Si 7.1946 4.5330 4.4883
Si 7.4435 0.0207 1.7931
Si 7.4435 3.0013 1.7931
Si 7.9150 3.0427 7.0864
Si 7.9150 6.0233 7.0864
Si 8.1639 1.5110 9.7816
Si 10.0576 4.5330 2.7557
C 2.1006 1.5110 7.8040
C 3.0189 4.5330 2.5107
C 7.2201 1.5110 8.0759
C 8.1384 4.5330 2.7826
N 0.3540 4.5330 1.1266
N 0.5521 3.1436 3.5395
N 0.5521 5.9223 3.5395
N 2.2800 3.0755 10.4575
N 2.2800 5.9905 10.4575
N 2.3680 4.5330 7.9816
N 2.7515 1.5110 2.6883
N 2.8396 0.0535 5.1642
N 2.8396 2.9685 5.1642
N 4.5674 0.1217 8.8329
N 4.5674 2.9003 8.8329
N 4.7656 1.5110 6.4199
N 5.4735 4.5330 4.1667
N 5.6716 3.1436 1.7538
N 5.6716 5.9223 1.7538
N 7.3995 3.0755 5.4224
N 7.3995 5.9905 5.4224
N 7.4876 4.5330 7.8983
N 7.8710 1.5110 2.6050
N 7.9591 0.0535 0.1291
N 7.9591 2.9685 0.1291
N 9.6869 0.1217 7.0471
N 9.6869 2.9003 7.0471
N 9.8851 1.5110 9.4600
```

Most intense lines, 2θ = 5–70°, sorted by position:
2θ/deg  I (rel.)
16.9  18.5
19.0  22.4
29.3  42.5
29.6  24.8
31.2  100.0
34.2  46.0
34.5  24.0
35.0  15.6
35.3  30.3
53.5  16.2